Structure and calculated PXRD pattern of Pm2Si5Ru3 (DFT lattice parameters and positions (GGA-PBE); Cu Kα (weighted mean of Kα1 and Kα2)).

Main lines, low angle first (15 to 90 degrees two-theta):
23.7 deg, intensity 27, hkl 1 3 0
29.3 deg, intensity 22, hkl 0 4 0
34.7 deg, intensity 36, hkl 2 4 0
35.0 deg, intensity 100, hkl 3 2 1
36.6 deg, intensity 36, hkl 2 0 2
43.5 deg, intensity 54, hkl 0 4 2
55.7 deg, intensity 27, hkl 3 6 1
58.3 deg, intensity 30, hkl 3 2 3

Structural model:
```
data_Pm2Si5Ru3
_cell_length_a 9.7532
_cell_length_b 12.1904
_cell_length_c 5.6925
_cell_angle_alpha 90.00
_cell_angle_beta 90.00
_cell_angle_gamma 90.00
_space_group_name_H-M_alt 'I b a m'
_space_group_IT_number 72
_space_group_name_Hall '-I 2 2c'
loop_
_atom_site_label
_atom_site_type_symbol
_atom_site_fract_x
_atom_site_fract_y
_atom_site_fract_z
Pm1 Pm 0.2329 0.1343 0.0000
Si1 Si 0.0000 0.0000 0.2500
Si2 Si 0.0000 0.2906 0.2500
Si3 Si 0.1660 0.4032 0.0000
Ru1 Ru 0.0000 0.5000 0.2500
Ru2 Ru 0.0932 0.1450 0.5000
```

---

Structure and calculated PXRD pattern of BaPrGe2Au2 (DFT lattice parameters and positions (GGA-PBE); Cu Kα (weighted mean of Kα1 and Kα2)).

Main lines, low angle first (15 to 90 degrees two-theta):
24.8 deg, intensity 26, hkl 0 1 1
30.5 deg, intensity 100, hkl 1 0 2
38.2 deg, intensity 12, hkl 0 1 3
39.8 deg, intensity 58, hkl 1 1 0
40.9 deg, intensity 13, hkl 0 0 4
50.9 deg, intensity 29, hkl 0 2 2
58.4 deg, intensity 27, hkl 1 1 4
66.5 deg, intensity 21, hkl 2 1 2

Structural model:
```
data_BaPrGe2Au2
_cell_length_a 4.5307
_cell_length_b 4.5307
_cell_length_c 8.8344
_cell_angle_alpha 90.00
_cell_angle_beta 90.00
_cell_angle_gamma 120.00
_space_group_name_H-M_alt 'P -3 m 1'
_space_group_IT_number 164
_space_group_name_Hall '-P 3 2"'
loop_
_atom_site_label
_atom_site_type_symbol
_atom_site_fract_x
_atom_site_fract_y
_atom_site_fract_z
Ba1 Ba 0.0000 0.0000 0.0000
Pr1 Pr 0.0000 0.0000 0.5000
Ge1 Ge 0.3333 0.6667 0.7178
Au1 Au 0.3333 0.6667 0.2751
```

---

Structure and calculated PXRD pattern of TbPmAu (DFT lattice parameters and positions (GGA-PBE); Cu Kα (weighted mean of Kα1 and Kα2)).

Main lines, low angle first (15 to 90 degrees two-theta):
32.6 deg, intensity 100, hkl 1 0 3
34.7 deg, intensity 48, hkl 1 1 0
43.9 deg, intensity 13, hkl 1 0 5
49.9 deg, intensity 17, hkl 2 0 0
56.8 deg, intensity 14, hkl 1 1 6
60.9 deg, intensity 34, hkl 2 1 3
68.3 deg, intensity 8, hkl 2 0 6
83.8 deg, intensity 8, hkl 3 1 0

Structural model:
```
data_TbPmAu
_cell_length_a 3.6522
_cell_length_b 3.6522
_cell_length_c 12.5063
_cell_angle_alpha 90.00
_cell_angle_beta 90.00
_cell_angle_gamma 90.00
_space_group_name_H-M_alt 'I 4 m m'
_space_group_IT_number 107
_space_group_name_Hall 'I 4 -2'
loop_
_atom_site_label
_atom_site_type_symbol
_atom_site_fract_x
_atom_site_fract_y
_atom_site_fract_z
Tb1 Tb 0.0000 0.0000 0.0000
Pm1 Pm 0.0000 0.0000 0.2890
Au1 Au 0.0000 0.0000 0.6337
```